[1]
For LiCrS2, a DFT-relaxed cell (GGA-PBE, Alexandria) gives the calculated PXRD pattern in this record (Cu Ka).

Most intense lines, 2θ = 10–90°, by angle:
- 14.84 deg, d 5.970, I 91.5, hkl 0 0 1
- 33.10 deg, d 2.706, I 100.0, hkl 0 1 1
- 42.47 deg, d 2.128, I 79.1, hkl 0 1 2
- 52.19 deg, d 1.753, I 37.2, hkl 1 1 0
- 54.57 deg, d 1.682, I 14.8, hkl 1 1 1
- 55.19 deg, d 1.664, I 26.2, hkl 1 0 3
- 63.21 deg, d 1.471, I 12.6, hkl 2 0 1
- 69.47 deg, d 1.353, I 16.0, hkl 2 0 2
- 85.44 deg, d 1.136, I 12.8, hkl 1 1 4
- 86.34 deg, d 1.127, I 10.6, hkl 1 2 1

Structural model:
```
data_LiCrS2
_chemical_formula_sum 'Li1 Cr1 S2'
_symmetry_space_group_name_H-M 'P -3 m 1'
_symmetry_Int_Tables_number 164
_symmetry_space_group_name_Hall '-P 3 2"'
_cell_length_a 3.5056
_cell_length_b 3.5056
_cell_length_c 5.9699
_cell_angle_alpha 90.00
_cell_angle_beta 90.00
_cell_angle_gamma 120.00
loop_
_atom_site_label
_atom_site_type_symbol
_atom_site_fract_x
_atom_site_fract_y
_atom_site_fract_z
_atom_site_occupancy
Li1 Li 0.0000 0.0000 0.0000 1
Cr1 Cr 0.0000 0.0000 0.5000 1
S1 S 0.3333 0.6667 0.7221 1
```

[2]
For LiCr5S8, a DFT-relaxed cell (GGA-PBE, Alexandria) gives the calculated PXRD pattern in this record (Cu Ka).

Most intense lines, 2θ = 10–90°, by angle:
- 10.12 deg, d 8.739, I 67.1, hkl 2 0 0
- 10.47 deg, d 8.453, I 100.0, hkl 0 0 1
- 12.48 deg, d 7.095, I 56.8, hkl 2 0 -1
- 33.21 deg, d 2.698, I 49.2, hkl 3 1 1
- 38.05 deg, d 2.365, I 19.1, hkl 6 0 -3
- 39.30 deg, d 2.293, I 29.3, hkl 3 1 2
- 40.97 deg, d 2.203, I 27.5, hkl 3 1 -3
- 47.33 deg, d 1.921, I 21.6, hkl 3 1 3
- 52.56 deg, d 1.741, I 36.8, hkl 9 1 -1
- 52.79 deg, d 1.734, I 19.0, hkl 0 2 0

Structural model:
```
data_LiCr5S8
_chemical_formula_sum 'Li2 Cr10 S16'
_symmetry_space_group_name_H-M 'C 1 m 1'
_symmetry_Int_Tables_number 8
_cell_length_a 18.135
_cell_length_b 3.468
_cell_length_c 8.771
_cell_angle_alpha 90.00
_cell_angle_beta 105.48
_cell_angle_gamma 90.00
loop_
_symmetry_equiv_pos_as_xyz
'x,y,z'
'x,-y,z'
'x+1/2,y+1/2,z'
'x+1/2,-y+1/2,z'
loop_
_atom_site_label
_atom_site_type_symbol
_atom_site_fract_x
_atom_site_fract_y
_atom_site_fract_z
_atom_site_occupancy
Li1 Li 0.000 0.000 0.000 1
Cr1 Cr 0.041 0.000 0.340 1
Cr2 Cr 0.085 0.000 0.695 1
Cr3 Cr 0.179 0.500 0.025 1
Cr4 Cr 0.224 0.500 0.390 1
Cr5 Cr 0.380 0.000 0.361 1
S1 S 0.053 0.500 0.849 1
S2 S 0.120 0.500 0.520 1
S3 S 0.143 0.000 0.204 1
S4 S 0.208 0.000 0.872 1
S5 S 0.297 0.000 0.531 1
S6 S 0.303 0.500 0.213 1
S7 S 0.458 0.500 0.506 1
S8 S 0.467 0.000 0.188 1
```